Diffraction record for Tl2Cd6Hg3. The X-ray powder pattern is simulated, not measured: it uses DFT lattice parameters and positions (GGA-PBE) and Cu Kα (λ = 1.5418 Å).
No peak broadening, texture or thermal motion is included.

Structure:
Lattice parameters (Å, degrees): 8.2808 8.2808 4.9225 90.00 90.00 120.00
Space group P-62m (No. 189)
Inequivalent atoms, fractional coordinates:
Tl 0.3333 0.6667 0.0000
Cd 0.0000 0.2247 0.5000
Cd 0.0000 0.7802 0.0000
Hg 0.0000 0.5644 0.5000

Peak list (6 most intense, 15° ≤ 2θ ≤ 90°, by intensity)
37.89 deg, intensity 100
28.16 deg, intensity 77
30.85 deg, intensity 67
33.05 deg, intensity 54
36.51 deg, intensity 45
50.06 deg, intensity 33